[1]
CdC2S2N4Cl2: computed X-ray diffraction stick pattern (a wavelength of 1.5418 Å), based on the PBE geometry in the Materials Project.

Structural model:
a b c (Å): 15.6560 5.5686 5.8308
angles (deg): 90.00 90.00 90.00
Space group Pmn2_1 (No. 31)
Inequivalent atoms, fractional coordinates:
Cd 0.0000 0.0782 0.0000 x2
C 0.2162 0.7720 0.6139 x4
S 0.1256 0.2844 0.2282 x4
N 0.1417 0.7390 0.6146 x4
N 0.2029 0.1707 0.0859 x4
Cl 0.0000 0.1972 0.5949 x2
Cl 0.0000 0.6397 0.1155 x2

Most intense lines, 2θ = 15–90°, most intense first:
(hkl), Position (°2θ), intensity
1 0 1, 16.22, 100
4 0 0, 22.77, 70
1 1 0, 16.90, 60
3 0 1, 22.87, 48
0 1 1, 22.07, 44
3 2 0, 36.61, 43
4 0 2, 38.50, 35
2 1 1, 24.86, 34
4 1 1, 31.88, 32
0 1 0, 15.92, 32

[2]
Sn2Bi2O7: computed X-ray diffraction stick pattern (a wavelength of 1.5418 Å), based on the PBE geometry in the Materials Project.

Structural model:
a b c (Å): 10.7444 10.7444 10.7444
angles (deg): 90.00 90.00 90.00
Space group Fd-3m (No. 227, origin choice 2)
Inequivalent atoms, fractional coordinates:
Sn 0.0000 0.0000 0.0000 x16
Bi 0.0000 0.0000 0.5000 x16
O 0.0824 0.3750 0.3750 x48
O 0.1250 0.1250 0.6250 x8

Most intense lines, 2θ = 15–90°, most intense first:
(hkl), Position (°2θ), intensity
2 2 2, 28.78, 100
4 4 0, 47.89, 47
6 2 2, 56.84, 47
4 0 0, 33.36, 37
6 6 2, 77.44, 20
8 4 0, 79.85, 17
8 4 4, 89.34, 16
4 4 4, 59.62, 12
8 0 0, 70.06, 7
3 3 1, 36.45, 6

[3]
LiHoO2: computed X-ray diffraction stick pattern (a wavelength of 1.5418 Å), based on the PBE geometry in the Materials Project.

Structural model:
a b c (Å): 3.3547 3.3547 15.1674
angles (deg): 90.00 90.00 120.00
Space group R-3m (No. 166, hexagonal axes)
Inequivalent atoms, fractional coordinates:
Li 0.0000 0.0000 0.0000 x3
Ho 0.0000 0.0000 0.5000 x3
O 0.0000 0.0000 0.2446 x6

Most intense lines, 2θ = 15–90°, most intense first:
(hkl), Position (°2θ), intensity
0 0 3, 17.54, 100
1 0 1, 31.35, 69
1 0 4, 39.06, 62
0 1 2, 33.02, 44
0 1 5, 43.11, 28
1 1 3, 57.92, 26
1 1 0, 54.72, 23
0 1 8, 58.10, 19
1 0 7, 52.70, 18
1 1 6, 66.95, 13

[4]
Sr3Bi2: computed X-ray diffraction stick pattern (a wavelength of 1.5418 Å), based on the PBE geometry in the Materials Project.

Structural model:
a b c (Å): 6.2449 6.2449 6.2449
angles (deg): 90.00 90.00 90.00
Space group Pm-3m (No. 221)
Inequivalent atoms, fractional coordinates:
Sr 0.0000 0.0000 0.5000 x3
Bi 0.0000 0.0000 0.0000 x1
Bi 0.5000 0.5000 0.5000 x1

Most intense lines, 2θ = 15–90°, most intense first:
(hkl), Position (°2θ), intensity
1 1 0, 20.11, 100
2 0 0, 28.59, 96
2 2 0, 40.87, 74
2 1 1, 35.20, 51
4 2 0, 67.02, 35
3 2 1, 55.02, 30
1 1 1, 24.69, 29
2 2 2, 50.64, 27
4 2 2, 74.42, 26
3 1 0, 45.96, 25

[5]
Si2N2O: computed X-ray diffraction stick pattern (a wavelength of 1.5418 Å), based on the PBE geometry in the Materials Project.

Structural model:
a b c (Å): 5.4945 5.4945 23.3661
angles (deg): 90.00 90.00 90.00
Space group I4_1/amd (No. 141, origin choice 2)
Inequivalent atoms, fractional coordinates:
Si 0.0000 0.0000 0.0000 x8
Si 0.0000 0.0003 0.3319 x16
Si 0.0000 0.2500 0.2061 x8
N 0.0000 0.0132 0.4128 x16
N 0.0000 0.0129 0.7495 x16
O 0.0000 0.0349 0.0764 x16

Most intense lines, 2θ = 15–90°, most intense first:
(hkl), Position (°2θ), intensity
2 1 3, 38.39, 100
4 0 0, 68.22, 74
1 0 3, 19.77, 62
2 2 0, 46.76, 45
3 2 3, 62.06, 27
0 0 12, 46.65, 22
1 1 6, 32.57, 21
1 0 15, 61.94, 18
1 1 2, 24.14, 13
3 0 15, 81.09, 12

[6]
ZnSeO4: computed X-ray diffraction stick pattern (a wavelength of 1.5418 Å), based on the PBE geometry in the Materials Project.

Structural model:
a b c (Å): 6.1732 4.9233 4.8704
angles (deg): 90.00 90.00 90.00
Space group Pmn2_1 (No. 31)
Inequivalent atoms, fractional coordinates:
Zn 0.0000 0.0983 0.0000 x2
Se 0.0000 0.6582 0.4507 x2
O 0.0000 0.3349 0.3576 x2
O 0.0000 0.6975 0.7890 x2
O 0.2125 0.8248 0.3050 x4

Most intense lines, 2θ = 15–90°, most intense first:
(hkl), Position (°2θ), intensity
1 1 1, 29.58, 100
0 1 1, 25.73, 73
2 0 0, 28.93, 60
1 2 0, 39.41, 36
2 1 1, 39.10, 35
2 0 2, 47.56, 27
1 2 2, 55.09, 26
3 1 1, 51.67, 22
0 0 2, 36.91, 22
4 0 0, 59.96, 16